No. 1
For Li2VCrP4O14, DFT lattice parameters and positions (GGA+U) gives the simulated powder X-ray diffraction pattern in this record (Cu Kα (λ = 1.5418 Å)).

Main lines, in order of rising 2θ (2θ from 10° to 80°):
index, Position (°2θ), I/Imax
1 1 -1, 17.11, 100.0
0 2 0, 22.00, 21.4
1 0 -2, 22.38, 49.1
1 2 -2, 25.40, 18.8
1 1 1, 26.68, 23.4
1 0 2, 28.85, 30.3
1 1 -3, 29.28, 56.3
2 0 -2, 29.69, 27.4
2 2 -2, 34.60, 16.5
2 2 -4, 43.21, 13.1

Atomic structure:
```
Li2VCrP4O14
1.0
7.022 0.000 0.000
-1.541 9.458 0.000
-1.541 -4.922 8.082
Li V Cr P O
4 2 2 8 28
Direct
0.000 0.000 0.000
0.001 0.504 0.503
0.340 0.928 0.428
0.347 0.431 0.932
0.400 0.127 0.267
0.941 0.663 0.302
0.400 0.628 0.767
0.946 0.165 0.805
0.146 0.233 0.553
0.149 0.730 0.049
0.194 0.380 0.199
0.198 0.881 0.701
0.584 0.520 0.445
0.588 0.019 0.942
0.757 0.486 0.908
0.758 0.989 0.415
0.066 0.482 0.299
0.070 0.983 0.801
0.154 0.346 0.022
0.156 0.842 0.522
0.162 0.226 0.711
0.163 0.724 0.207
0.177 0.221 0.204
0.184 0.724 0.709
0.188 0.411 0.589
0.189 0.908 0.086
0.272 0.131 0.449
0.280 0.632 0.949
0.425 0.490 0.283
0.429 0.992 0.782
0.522 0.632 0.596
0.526 0.130 0.095
0.555 0.990 0.332
0.556 0.492 0.822
0.585 0.352 0.427
0.591 0.851 0.923
0.750 0.507 0.076
0.760 0.005 0.583
0.785 0.603 0.441
0.790 0.105 0.939
0.815 0.332 0.798
0.824 0.839 0.302
0.915 0.151 0.444
0.919 0.646 0.937
```

***

No. 2
For MnMoPbO6, DFT lattice parameters and positions (GGA+U) gives the simulated powder X-ray diffraction pattern in this record (Cu Kα (λ = 1.5418 Å)).

Main lines, in order of rising 2θ (2θ from 10° to 80°):
index, Position (°2θ), I/Imax
1 0 1, 20.78, 39.7
1 1 0, 26.60, 100.0
1 1 2, 32.26, 16.0
1 0 3, 33.08, 89.3
2 0 0, 37.98, 22.7
2 1 3, 51.23, 69.0
2 2 0, 54.80, 16.6
3 1 0, 61.93, 15.5
1 1 6, 62.76, 17.4
3 0 3, 65.52, 19.9

Atomic structure:
```
MnMoPbO6
1.0
4.738 0.000 0.000
0.000 4.738 0.000
0.000 0.000 9.902
Mn Mo Pb O
2 2 2 12
Direct
0.000 0.000 0.000
0.500 0.500 0.500
0.000 0.000 0.335
0.500 0.500 0.835
0.000 0.000 0.669
0.500 0.500 0.169
0.181 0.181 0.175
0.205 0.205 0.491
0.211 0.211 0.844
0.289 0.711 0.344
0.295 0.705 0.991
0.319 0.681 0.675
0.681 0.319 0.675
0.705 0.295 0.991
0.711 0.289 0.344
0.789 0.789 0.844
0.795 0.795 0.491
0.819 0.819 0.175
```

***

Please write out number 2 again, unchanged.
For MnMoPbO6, DFT lattice parameters and positions (GGA+U) gives the simulated powder X-ray diffraction pattern in this record (Cu Kα (λ = 1.5418 Å)).

Main lines, in order of rising 2θ (2θ from 10° to 80°):
index, Position (°2θ), I/Imax
1 0 1, 20.78, 39.7
1 1 0, 26.60, 100.0
1 1 2, 32.26, 16.0
1 0 3, 33.08, 89.3
2 0 0, 37.98, 22.7
2 1 3, 51.23, 69.0
2 2 0, 54.80, 16.6
3 1 0, 61.93, 15.5
1 1 6, 62.76, 17.4
3 0 3, 65.52, 19.9

Atomic structure:
```
MnMoPbO6
1.0
4.738 0.000 0.000
0.000 4.738 0.000
0.000 0.000 9.902
Mn Mo Pb O
2 2 2 12
Direct
0.000 0.000 0.000
0.500 0.500 0.500
0.000 0.000 0.335
0.500 0.500 0.835
0.000 0.000 0.669
0.500 0.500 0.169
0.181 0.181 0.175
0.205 0.205 0.491
0.211 0.211 0.844
0.289 0.711 0.344
0.295 0.705 0.991
0.319 0.681 0.675
0.681 0.319 0.675
0.705 0.295 0.991
0.711 0.289 0.344
0.789 0.789 0.844
0.795 0.795 0.491
0.819 0.819 0.175
```